# 1
For Rb3TmS3O12, DFT lattice parameters and positions (GGA-PBE) gives the computed X-ray diffraction stick pattern in this record (Cu Kα (λ = 1.5418 Å)).

Main lines, most intense first (2θ = 10–90°):
25.71 deg, d 3.466, intensity 1000; 11.31 deg, d 7.822, intensity 607; 30.48 deg, d 2.933, intensity 582; 25.25 deg, d 3.527, intensity 570; 30.38 deg, d 2.942, intensity 382; 19.58 deg, d 4.534, intensity 325; 25.79 deg, d 3.455, intensity 325; 19.82 deg, d 4.479, intensity 310

Structural model:
```
Rb3TmS3O12
1.0
5.5899 -7.7484 0.0000
5.5899 7.7484 0.0000
-5.5621 0.0000 7.7196
Rb Tm S O
6 2 6 24
Cartesian
2.8088 7.6495 3.8598
2.7762 4.0827 2.0886
6.9368 3.0049 1.4701
-0.0049 -4.0827 5.9484
4.1557 -3.0049 5.3300
5.5899 -7.6495 0.0000
1.4235 1.4142 5.0296
4.2046 -1.4142 1.1698
-0.9744 1.5959 7.3286
2.3073 4.7616 6.1308
1.8067 -1.5959 3.4688
4.2128 0.9037 3.8785
6.9939 -0.9037 0.0186
5.0883 -4.7616 2.2710
0.2958 2.7878 3.5400
1.1417 5.6637 6.1140
4.6434 6.1461 1.9673
-1.6177 2.9334 7.5054
-0.7435 1.3509 5.8326
3.1734 4.9419 4.9562
3.6553 0.4996 0.1397
1.8239 3.3142 6.1704
0.8743 -0.4996 3.9995
2.9837 1.5765 3.3062
2.0376 -1.3509 1.9728
-2.4852 -2.7878 7.3998
1.1634 -2.9334 3.6456
1.6498 0.4187 7.0684
0.2027 -1.5765 7.1660
5.4074 1.7361 3.7159
4.4309 -0.4187 3.2085
3.8298 0.6754 5.3156
6.6109 -0.6754 1.4558
4.6049 -3.3142 2.3106
2.6264 -1.7361 7.5757
3.9228 -5.6637 2.2541
5.9545 -4.9419 1.0964
1.8624 -6.1461 5.8271
```

# 2
For FeSnN2, DFT lattice parameters and positions (GGA-PBE) gives the computed X-ray diffraction stick pattern in this record (Cu Kα (λ = 1.5418 Å)).

Main lines, most intense first (2θ = 10–90°):
33.71 deg, d 2.659, intensity 1000; 35.62 deg, d 2.520, intensity 295; 36.11 deg, d 2.487, intensity 235; 62.76 deg, d 1.480, intensity 197; 28.52 deg, d 3.130, intensity 179; 31.28 deg, d 2.860, intensity 154; 26.41 deg, d 3.375, intensity 145; 48.70 deg, d 1.870, intensity 119

Structural model:
```
FeSnN2
1.0
5.7197 0.0000 0.0000
0.0000 7.4785 0.0000
0.0000 0.0000 5.0410
Fe Sn N
4 4 8
Cartesian
0.0835 0.9244 0.0000
2.7764 4.6637 2.5205
2.9434 2.8148 0.0000
5.6363 6.5541 2.5205
0.5159 4.6714 0.0826
2.3440 0.9322 2.6031
3.3757 6.5463 0.0826
5.2039 2.8071 2.6031
0.1626 0.7730 1.8142
1.3035 5.5606 2.0257
1.5564 1.8214 4.5462
2.6973 4.5122 4.3347
3.0224 2.9662 1.8142
4.1634 5.6571 2.0257
4.4162 1.9179 4.5462
5.5572 6.7055 4.3347
```

# 3
For MgSnO3, DFT lattice parameters and positions (GGA-PBE) gives the computed X-ray diffraction stick pattern in this record (Cu Kα (λ = 1.5418 Å)).

Main lines, most intense first (2θ = 10–90°):
31.43 deg, d 2.846, intensity 1000; 22.08 deg, d 4.025, intensity 903; 55.96 deg, d 1.643, intensity 421; 45.04 deg, d 2.013, intensity 411; 50.71 deg, d 1.800, intensity 391; 65.60 deg, d 1.423, intensity 251; 74.55 deg, d 1.273, intensity 191; 70.14 deg, d 1.342, intensity 189

Structural model:
```
MgSnO3
1.0
4.0252 0.0000 0.0000
0.0000 4.0252 0.0000
0.0000 0.0000 4.0252
Mg Sn O
1 1 3
Cartesian
0.0000 0.0000 0.0000
2.0126 2.0126 2.0126
0.0000 2.0126 2.0126
2.0126 0.0000 2.0126
2.0126 2.0126 0.0000
```

# 4
For Sb4IO6, DFT lattice parameters and positions (GGA-PBE) gives the computed X-ray diffraction stick pattern in this record (Cu Kα (λ = 1.5418 Å)).

Main lines, most intense first (2θ = 10–90°):
26.62 deg, d 3.349, intensity 1000; 32.75 deg, d 2.734, intensity 433; 29.76 deg, d 3.002, intensity 322; 28.88 deg, d 3.092, intensity 294; 43.42 deg, d 2.084, intensity 243; 31.78 deg, d 2.815, intensity 243; 21.24 deg, d 4.184, intensity 185; 53.54 deg, d 1.711, intensity 163

Structural model:
```
Sb4IO6
1.0
9.5754 -2.0840 0.0000
9.5754 2.0840 0.0000
-3.6513 0.0000 10.6476
Sb I O
8 2 12
Cartesian
-0.7480 0.0000 2.4608
0.6126 0.0000 8.8840
3.2609 0.0000 3.5395
6.1457 0.0000 5.5383
9.3537 0.0000 5.1094
12.2386 0.0000 7.1082
14.8868 0.0000 1.7636
16.2474 0.0000 8.1869
3.8880 0.0000 10.4073
11.6114 0.0000 0.2404
-0.1880 0.0000 4.4633
-0.9674 0.0000 7.6566
1.9513 0.0000 7.3532
4.8905 0.0000 2.2435
4.1651 0.0000 5.3436
6.3811 0.0000 7.5551
9.1183 0.0000 3.0926
11.3343 0.0000 5.3040
10.6089 0.0000 8.4041
13.5482 0.0000 3.2944
16.4668 0.0000 2.9910
15.6875 0.0000 6.1843
```

# 5
For Be2CoIr, DFT lattice parameters and positions (GGA-PBE) gives the computed X-ray diffraction stick pattern in this record (Cu Kα (λ = 1.5418 Å)).

Main lines, most intense first (2θ = 10–90°):
32.99 deg, d 2.715, intensity 1000; 47.35 deg, d 1.920, intensity 881; 28.47 deg, d 3.135, intensity 538; 78.83 deg, d 1.214, intensity 322; 88.14 deg, d 1.108, intensity 303; 56.18 deg, d 1.637, intensity 265; 58.92 deg, d 1.567, intensity 253; 69.21 deg, d 1.357, intensity 140

Structural model:
```
Be2CoIr
1.0
0.0000 2.7150 2.7150
2.7150 0.0000 2.7150
2.7150 2.7150 0.0000
Be Co Ir
2 1 1
Cartesian
1.3575 1.3575 1.3575
4.0724 4.0724 4.0724
0.0000 0.0000 0.0000
2.7150 2.7150 2.7150
```

# 6
For ErPt, DFT lattice parameters and positions (GGA-PBE) gives the computed X-ray diffraction stick pattern in this record (Cu Kα (λ = 1.5418 Å)).

Main lines, most intense first (2θ = 10–90°):
36.42 deg, d 2.467, intensity 1000; 40.16 deg, d 2.246, intensity 909; 32.60 deg, d 2.747, intensity 731; 40.55 deg, d 2.225, intensity 499; 34.48 deg, d 2.601, intensity 471; 54.26 deg, d 1.691, intensity 261; 55.10 deg, d 1.667, intensity 236; 70.61 deg, d 1.334, intensity 225

Structural model:
```
ErPt
1.0
6.9835 0.0000 0.0000
0.0000 4.4491 0.0000
0.0000 0.0000 5.6061
Er Pt
4 4
Cartesian
1.2666 1.1123 0.7830
2.2251 3.3368 3.5861
4.7583 1.1123 2.0201
5.7169 3.3368 4.8231
0.3117 1.1123 3.6828
3.1801 3.3368 0.8798
3.8034 1.1123 4.7264
6.6718 3.3368 1.9233
```

# 7
For Ba8Ce3Sb4O24, DFT lattice parameters and positions (GGA-PBE) gives the computed X-ray diffraction stick pattern in this record (Cu Kα (λ = 1.5418 Å)).

Main lines, most intense first (2θ = 10–90°):
29.41 deg, d 3.037, intensity 1000; 52.22 deg, d 1.752, intensity 233; 42.15 deg, d 2.144, intensity 193; 52.08 deg, d 1.756, intensity 119; 60.98 deg, d 1.519, intensity 109; 41.94 deg, d 2.154, intensity 99; 69.29 deg, d 1.356, intensity 89; 61.14 deg, d 1.516, intensity 53

Structural model:
```
Ba8Ce3Sb4O24
1.0
-4.2874 4.2874 8.6162
4.2874 -4.2874 8.6162
4.2874 4.2874 -8.6162
Ba Ce Sb O
8 3 4 24
Cartesian
1.9690 1.9690 -2.0018
2.3184 -2.3184 6.6144
1.9690 1.9690 2.0018
2.3184 -2.3184 10.6180
-2.3184 2.3184 6.6144
2.3184 2.3184 6.6144
-2.3184 2.3184 10.6180
2.3184 2.3184 10.6180
4.2874 0.0000 4.3081
0.0000 0.0000 8.6162
0.0000 4.2874 4.3081
4.2874 0.0000 0.0000
0.0000 0.0000 4.3991
0.0000 4.2874 0.0000
0.0000 0.0000 12.8333
2.3370 0.0000 0.0000
6.2379 0.0000 0.0000
4.2874 2.2394 -4.2434
4.2874 0.0000 2.0635
0.0000 0.0000 2.4299
4.2874 2.0540 0.0000
2.2394 4.2874 -4.2434
2.0481 0.0000 4.3728
0.0000 2.3370 0.0000
0.0000 0.0000 6.3916
4.2874 0.0000 6.5527
0.0000 2.0481 4.3728
2.0540 4.2874 0.0000
2.2334 0.0000 8.6162
4.2874 2.2394 4.2434
0.0000 4.2874 2.0635
0.0000 0.0000 10.8408
0.0000 6.2379 0.0000
2.2394 4.2874 4.2434
2.0481 0.0000 12.8596
0.0000 2.2334 8.6162
0.0000 0.0000 14.8025
0.0000 4.2874 6.5527
0.0000 2.0481 12.8596
```

# 8
For CuAsSe, DFT lattice parameters and positions (GGA-PBE) gives the computed X-ray diffraction stick pattern in this record (Cu Kα (λ = 1.5418 Å)).

Main lines, most intense first (2θ = 10–90°):
27.47 deg, d 3.247, intensity 1000; 27.33 deg, d 3.263, intensity 833; 45.34 deg, d 2.000, intensity 780; 54.12 deg, d 1.695, intensity 255; 54.35 deg, d 1.688, intensity 234; 46.01 deg, d 1.973, intensity 229; 45.67 deg, d 1.986, intensity 207; 53.33 deg, d 1.718, intensity 196

Structural model:
```
CuAsSe
1.0
11.9189 0.0000 0.0000
0.0000 3.9451 0.0000
0.0000 0.0000 5.7187
Cu As Se
4 4 4
Cartesian
2.0025 0.9863 0.4896
3.9569 2.9588 3.3490
7.9620 0.9863 2.3697
9.9164 2.9588 5.2291
0.1877 0.9863 2.0552
5.7717 2.9588 4.9145
6.1472 0.9863 0.8042
11.7312 2.9588 3.6636
1.9970 2.9588 4.7891
3.9625 0.9863 1.9298
7.9565 2.9588 3.7890
9.9219 0.9863 0.9296
```

# 9
For Ag3PO4, DFT lattice parameters and positions (GGA-PBE) gives the computed X-ray diffraction stick pattern in this record (Cu Kα (λ = 1.5418 Å)).

Main lines, most intense first (2θ = 10–90°):
32.77 deg, d 2.732, intensity 1000; 36.00 deg, d 2.495, intensity 317; 54.12 deg, d 1.695, intensity 225; 29.23 deg, d 3.055, intensity 158; 51.87 deg, d 1.763, intensity 111; 47.03 deg, d 1.932, intensity 101; 70.59 deg, d 1.334, intensity 98; 20.56 deg, d 4.320, intensity 98

Structural model:
```
Ag3PO4
1.0
4.3166 2.4922 3.5338
-4.3166 2.4922 3.5338
0.0000 -4.9844 3.5338
Ag P O
6 2 8
Cartesian
-0.9054 -1.9761 3.5338
-3.0580 -0.7200 5.3007
-1.2587 1.7722 3.5338
2.1525 -2.2883 5.3007
2.1641 0.2040 3.5338
0.9054 3.0083 5.3007
0.0000 0.0000 1.0184
0.0000 0.0000 6.3191
0.0000 0.0000 2.5962
-3.0277 -1.7626 7.5757
-1.2890 0.7296 5.8088
0.0126 -1.4811 5.8088
0.0000 0.0000 7.8969
1.2763 0.7515 5.8088
-0.0126 3.5034 7.5757
3.0403 -1.7407 7.5757
```